Structure and theoretical powder XRD pattern of U3Tl4CuO12 (a PBE-relaxed structure; a wavelength of 1.5418 Å).
Neutral-atom scattering factors, no anomalous dispersion.

Peak list (8 most intense, 2θ = 10–90°, sorted by position)
- 2θ 14.51, d = 6.103 Å, I = 6
- 2θ 29.27, d = 3.052 Å, I = 100
- 2θ 41.86, d = 2.158 Å, I = 27
- 2θ 51.90, d = 1.762 Å, I = 42
- 2θ 60.70, d = 1.526 Å, I = 17
- 2θ 68.79, d = 1.365 Å, I = 19
- 2θ 76.46, d = 1.246 Å, I = 6
- 2θ 83.88, d = 1.153 Å, I = 23

Atomic structure:
```
U3Tl4CuO12
1.0
-4.316 4.316 4.316
4.316 -4.316 4.316
4.316 4.316 -4.316
U Tl Cu O
3 4 1 12
Direct
0.000 0.500 0.500
0.500 0.000 0.500
0.500 0.500 0.000
0.000 0.000 0.500
0.000 0.500 0.000
0.500 0.000 0.000
0.500 0.500 0.500
0.000 0.000 0.000
0.000 0.270 0.270
0.000 0.730 0.730
0.250 0.500 0.750
0.250 0.750 0.500
0.270 0.000 0.270
0.270 0.270 0.000
0.500 0.250 0.750
0.500 0.750 0.250
0.730 0.000 0.730
0.730 0.730 0.000
0.750 0.250 0.500
0.750 0.500 0.250
```